[1]
# DyHoBe2
Theoretical powder XRD pattern, λ = 1.5418 Å (Cu Kα). Input: a structure optimized by DFT (PBE).
Lines closer than 0.1° are merged.

Main lines, low angle first (10 to 80 degrees two-theta):
2θ = 26.21°, I = 100; 2θ = 37.41°, I = 93; 2θ = 46.25°, I = 29; 2θ = 53.94°, I = 16; 2θ = 60.93°, I = 39; 2θ = 67.48°, I = 33; 2θ = 79.78°, I = 10

Cell and atoms:
```
DyHoBe2
1.0
0.000 3.400 3.400
3.400 0.000 3.400
3.400 3.400 0.000
Dy Ho Be
1 1 2
direct
0.000 0.000 0.000
0.500 0.500 0.500
0.250 0.250 0.250
0.750 0.750 0.750
```



[2]
# DyBe17Ir
Theoretical powder XRD pattern, λ = 1.5418 Å (Cu Kα). Input: a structure optimized by DFT (PBE).
Lines closer than 0.1° are merged.

Main lines, low angle first (10 to 80 degrees two-theta):
2θ = 15.90°, I = 62; 2θ = 21.34°, I = 32; 2θ = 23.70°, I = 100; 2θ = 24.64°, I = 31; 2θ = 34.45°, I = 89; 2θ = 41.68°, I = 30; 2θ = 49.02°, I = 42; 2θ = 56.55°, I = 23

Cell and atoms:
```
DyBe17Ir
1.0
3.754 2.167 3.613
-3.754 2.167 3.613
0.000 -4.334 3.613
Dy Be Ir
1 17 1
direct
0.000 0.000 0.000
0.047 0.354 0.633
0.047 0.633 0.354
0.216 0.685 0.685
0.251 0.251 0.251
0.336 0.336 0.853
0.336 0.853 0.336
0.354 0.047 0.633
0.354 0.633 0.047
0.445 0.445 0.445
0.510 0.991 0.991
0.633 0.047 0.354
0.633 0.354 0.047
0.685 0.216 0.685
0.685 0.685 0.216
0.853 0.336 0.336
0.991 0.510 0.991
0.991 0.991 0.510
0.670 0.670 0.670
```



[3]
# DyBe2IrO8
Theoretical powder XRD pattern, λ = 1.5418 Å (Cu Kα). Input: a structure optimized by DFT (PBE).
Lines closer than 0.1° are merged.

Main lines, low angle first (10 to 80 degrees two-theta):
2θ = 19.89°, I = 100; 2θ = 34.81°, I = 27; 2θ = 35.31°, I = 43; 2θ = 40.41°, I = 11; 2θ = 45.83°, I = 30; 2θ = 50.42°, I = 21; 2θ = 54.37°, I = 14; 2θ = 62.73°, I = 17

Cell and atoms:
```
DyBe2IrO8
1.0
5.155 0.000 0.000
-2.577 4.464 0.000
0.000 0.000 6.184
Dy Be Ir O
1 2 1 8
direct
0.000 0.000 0.000
0.333 0.667 0.230
0.667 0.333 0.770
0.000 0.000 0.500
0.164 0.328 0.308
0.164 0.836 0.308
0.328 0.164 0.692
0.333 0.667 0.970
0.667 0.333 0.030
0.672 0.836 0.308
0.836 0.164 0.692
0.836 0.672 0.692
```



[4]
# PrDyBeN2
Theoretical powder XRD pattern, λ = 1.5418 Å (Cu Kα). Input: a structure optimized by DFT (PBE).
Lines closer than 0.1° are merged.

Main lines, low angle first (10 to 80 degrees two-theta):
2θ = 24.57°, I = 100; 2θ = 26.89°, I = 33; 2θ = 34.14°, I = 20; 2θ = 36.74°, I = 78; 2θ = 43.99°, I = 25; 2θ = 45.40°, I = 23; 2θ = 50.36°, I = 18; 2θ = 58.00°, I = 27

Cell and atoms:
```
PrDyBeN2
1.0
5.006 0.000 0.000
0.000 5.252 0.000
0.000 0.000 6.630
Pr Dy Be N
2 2 2 4
direct
0.000 0.000 0.250
0.000 0.000 0.750
0.500 0.500 0.250
0.500 0.500 0.750
0.000 0.500 0.000
0.000 0.500 0.500
0.233 0.299 0.000
0.233 0.701 0.500
0.767 0.299 0.500
0.767 0.701 0.000
```



[5]
# SrDyBeN2
Theoretical powder XRD pattern, λ = 1.5418 Å (Cu Kα). Input: a structure optimized by DFT (PBE).
Lines closer than 0.1° are merged.

Main lines, low angle first (10 to 80 degrees two-theta):
2θ = 16.53°, I = 18; 2θ = 23.90°, I = 100; 2θ = 26.60°, I = 30; 2θ = 33.43°, I = 21; 2θ = 36.06°, I = 78; 2θ = 43.22°, I = 24; 2θ = 44.22°, I = 24; 2θ = 48.92°, I = 18

Cell and atoms:
```
SrDyBeN2
1.0
5.175 0.000 0.000
0.000 5.362 0.000
0.000 0.000 6.702
Sr Dy Be N
2 2 2 4
direct
0.000 0.000 0.250
0.000 0.000 0.750
0.500 0.500 0.250
0.500 0.500 0.750
0.000 0.500 0.000
0.000 0.500 0.500
0.238 0.326 0.000
0.238 0.674 0.500
0.762 0.326 0.500
0.762 0.674 0.000
```



[6]
# Dy3BeNi3
Theoretical powder XRD pattern, λ = 1.5418 Å (Cu Kα). Input: a structure optimized by DFT (PBE).
Lines closer than 0.1° are merged.

Main lines, low angle first (10 to 80 degrees two-theta):
2θ = 28.61°, I = 50; 2θ = 31.90°, I = 44; 2θ = 32.27°, I = 70; 2θ = 36.02°, I = 60; 2θ = 36.84°, I = 36; 2θ = 39.87°, I = 36; 2θ = 41.36°, I = 100; 2θ = 48.51°, I = 29

Cell and atoms:
```
Dy3BeNi3
1.0
1.877 -4.994 0.000
1.877 4.994 0.000
0.000 0.000 13.565
Dy Be Ni
6 2 6
direct
0.003 0.997 0.750
0.280 0.720 0.605
0.280 0.720 0.895
0.720 0.280 0.105
0.720 0.280 0.395
0.997 0.003 0.250
0.000 0.000 0.000
0.000 0.000 0.500
0.292 0.708 0.250
0.436 0.564 0.081
0.436 0.564 0.419
0.564 0.436 0.581
0.564 0.436 0.919
0.708 0.292 0.750
```



Copy entry 5 word for word.
# SrDyBeN2
Theoretical powder XRD pattern, λ = 1.5418 Å (Cu Kα). Input: a structure optimized by DFT (PBE).
Lines closer than 0.1° are merged.

Main lines, low angle first (10 to 80 degrees two-theta):
2θ = 16.53°, I = 18; 2θ = 23.90°, I = 100; 2θ = 26.60°, I = 30; 2θ = 33.43°, I = 21; 2θ = 36.06°, I = 78; 2θ = 43.22°, I = 24; 2θ = 44.22°, I = 24; 2θ = 48.92°, I = 18

Cell and atoms:
```
SrDyBeN2
1.0
5.175 0.000 0.000
0.000 5.362 0.000
0.000 0.000 6.702
Sr Dy Be N
2 2 2 4
direct
0.000 0.000 0.250
0.000 0.000 0.750
0.500 0.500 0.250
0.500 0.500 0.750
0.000 0.500 0.000
0.000 0.500 0.500
0.238 0.326 0.000
0.238 0.674 0.500
0.762 0.326 0.500
0.762 0.674 0.000
```



Q: Number 5 is which compound?
A: SrDyBeN2